For CaVCuHO5, the GGA+U geometry in Alexandria gives the computed powder diffractogram in this record (Cu Kα).

Cell: 5.8441 7.4424 9.6394 Å, 90.00 90.00 90.00°
Space group P2_12_12_1 (No. 19)
Asymmetric unit:
1 Ca 0.0218 0.1262 0.1819 (multiplicity 4)
2 V 0.0150 0.6190 0.6580 (multiplicity 4)
3 Cu 0.2468 0.7453 0.9987 (multiplicity 4)
4 H 0.0206 0.9888 0.4791 (multiplicity 4)
5 O 0.0019 0.9337 0.9634 (multiplicity 4)
6 O 0.0063 0.1086 0.4311 (multiplicity 4)
7 O 0.0752 0.7997 0.5523 (multiplicity 4)
8 O 0.2395 0.1426 0.7516 (multiplicity 4)
9 O 0.2478 0.6072 0.7688 (multiplicity 4)

Principal peaks in the range 2θ = 5–70°, low angle first:
d [Å]	2theta	I/Imax
5.891	15.04	38
4.149	21.42	22
3.721	23.91	18
3.139	28.43	45
2.949	30.31	100
2.632	34.06	48
2.618	34.26	61
2.298	39.21	17
2.074	43.63	20
1.860	48.97	32
1.736	52.74	17
1.630	56.46	35